No. 1
This entry pairs a crystal structure of NaTePb2S4 with its theoretical X-ray powder pattern. Radiation: Cu Kα. Structure: a DFT-relaxed cell (PBE, Alexandria).
Neutral-atom scattering factors, no anomalous dispersion.

Structure:
```
data_NaTePb2S4
_symmetry_space_group_name_H-M 'P 1'
_symmetry_Int_Tables_number 1
_cell_length_a 8.085
_cell_length_b 8.085
_cell_length_c 8.248
_cell_angle_alpha 117.74
_cell_angle_beta 117.74
_cell_angle_gamma 89.79
loop_
_symmetry_equiv_pos_as_xyz
'x,y,z'
loop_
_atom_site_label
_atom_site_fract_x
_atom_site_fract_y
_atom_site_fract_z
Na1 0.000 0.000 0.000
Na2 0.000 0.000 0.500
Te1 0.000 0.500 0.000
Te2 0.500 0.000 0.500
Pb1 0.000 0.500 0.500
Pb2 0.500 0.000 0.000
Pb3 0.500 0.500 0.000
Pb4 0.500 0.500 0.500
S1 0.214 0.725 0.972
S2 0.239 0.265 0.015
S3 0.265 0.239 0.515
S4 0.275 0.786 0.528
S5 0.725 0.214 0.472
S6 0.735 0.761 0.485
S7 0.761 0.735 0.985
S8 0.786 0.275 0.028
```

Largest 6 diffraction maxima, low angle first, 10° ≤ 2θ ≤ 80°:
| 2theta | I/Imax |
| --- | --- |
| 12.86 | 52 |
| 25.87 | 64 |
| 26.73 | 56 |
| 28.72 | 63 |
| 31.31 | 100 |
| 43.03 | 41 |

No. 2
This entry pairs a crystal structure of Na4SbPb2 with its theoretical X-ray powder pattern. Radiation: Cu Kα. Structure: a DFT-relaxed cell (PBE, Alexandria).
Neutral-atom scattering factors, no anomalous dispersion.

Structure:
```
data_Na4SbPb2
_symmetry_space_group_name_H-M 'P 1'
_symmetry_Int_Tables_number 1
_cell_length_a 8.714
_cell_length_b 8.714
_cell_length_c 8.714
_cell_angle_alpha 139.39
_cell_angle_beta 139.39
_cell_angle_gamma 58.79
loop_
_symmetry_equiv_pos_as_xyz
'x,y,z'
loop_
_atom_site_label
_atom_site_fract_x
_atom_site_fract_y
_atom_site_fract_z
Na1 0.000 0.500 0.500
Na2 0.196 0.196 0.000
Na3 0.500 0.000 0.500
Na4 0.804 0.804 0.000
Sb1 0.000 0.000 0.000
Pb1 0.404 0.404 0.000
Pb2 0.596 0.596 0.000
```

Largest 6 diffraction maxima, low angle first, 10° ≤ 2θ ≤ 80°:
| 2theta | I/Imax |
| --- | --- |
| 11.66 | 50 |
| 15.77 | 49 |
| 20.77 | 100 |
| 29.54 | 60 |
| 33.00 | 76 |
| 44.87 | 65 |

No. 3
This entry pairs a crystal structure of NaSbPb3 with its theoretical X-ray powder pattern. Radiation: Cu Kα. Structure: a DFT-relaxed cell (PBE, Alexandria).
Neutral-atom scattering factors, no anomalous dispersion.

Structure:
```
data_NaSbPb3
_symmetry_space_group_name_H-M 'P 1'
_symmetry_Int_Tables_number 1
_cell_length_a 9.396
_cell_length_b 9.396
_cell_length_c 7.054
_cell_angle_alpha 111.92
_cell_angle_beta 111.92
_cell_angle_gamma 32.61
loop_
_symmetry_equiv_pos_as_xyz
'x,y,z'
loop_
_atom_site_label
_atom_site_fract_x
_atom_site_fract_y
_atom_site_fract_z
Na1 0.014 0.014 0.257
Na2 0.986 0.986 0.743
Sb1 0.402 0.402 0.903
Sb2 0.598 0.598 0.097
Pb1 0.192 0.192 0.059
Pb2 0.212 0.212 0.597
Pb3 0.397 0.397 0.358
Pb4 0.603 0.603 0.642
Pb5 0.788 0.788 0.403
Pb6 0.808 0.808 0.941
```

Largest 6 diffraction maxima, low angle first, 10° ≤ 2θ ≤ 80°:
| 2theta | I/Imax |
| --- | --- |
| 10.65 | 47 |
| 30.98 | 100 |
| 31.82 | 94 |
| 33.29 | 37 |
| 33.98 | 42 |
| 48.31 | 27 |

No. 4
This entry pairs a crystal structure of Na5Sb2Pb with its theoretical X-ray powder pattern. Radiation: Cu Kα. Structure: a DFT-relaxed cell (PBE, Alexandria).
Neutral-atom scattering factors, no anomalous dispersion.

Structure:
```
data_Na5Sb2Pb
_symmetry_space_group_name_H-M 'P 1'
_symmetry_Int_Tables_number 1
_cell_length_a 5.368
_cell_length_b 5.368
_cell_length_c 20.640
_cell_angle_alpha 90.00
_cell_angle_beta 90.00
_cell_angle_gamma 120.00
loop_
_symmetry_equiv_pos_as_xyz
'x,y,z'
loop_
_atom_site_label
_atom_site_fract_x
_atom_site_fract_y
_atom_site_fract_z
Na1 0.000 0.000 0.145
Na2 0.000 0.000 0.355
Na3 0.000 0.000 0.645
Na4 0.000 0.000 0.855
Na5 0.333 0.667 0.054
Na6 0.333 0.667 0.250
Na7 0.333 0.667 0.446
Na8 0.667 0.333 0.554
Na9 0.667 0.333 0.750
Na10 0.667 0.333 0.946
Sb1 0.333 0.667 0.602
Sb2 0.333 0.667 0.898
Sb3 0.667 0.333 0.102
Sb4 0.667 0.333 0.398
Pb1 0.333 0.667 0.750
Pb2 0.667 0.333 0.250
```

Largest 6 diffraction maxima, low angle first, 10° ≤ 2θ ≤ 80°:
| 2theta | I/Imax |
| --- | --- |
| 19.09 | 33 |
| 19.58 | 100 |
| 32.38 | 26 |
| 33.39 | 62 |
| 36.07 | 47 |
| 42.73 | 32 |

No. 5
This entry pairs a crystal structure of NaTl2Sb2Pb2 with its theoretical X-ray powder pattern. Radiation: Cu Kα. Structure: a DFT-relaxed cell (PBE, Alexandria).
Neutral-atom scattering factors, no anomalous dispersion.

Structure:
```
data_NaTl2Sb2Pb2
_symmetry_space_group_name_H-M 'P 1'
_symmetry_Int_Tables_number 1
_cell_length_a 5.164
_cell_length_b 5.164
_cell_length_c 13.302
_cell_angle_alpha 90.00
_cell_angle_beta 90.00
_cell_angle_gamma 120.00
loop_
_symmetry_equiv_pos_as_xyz
'x,y,z'
loop_
_atom_site_label
_atom_site_fract_x
_atom_site_fract_y
_atom_site_fract_z
Na1 0.000 0.000 0.000
Tl1 0.000 0.000 0.235
Tl2 0.000 0.000 0.765
Sb1 0.333 0.667 0.665
Sb2 0.667 0.333 0.335
Pb1 0.333 0.667 0.418
Pb2 0.667 0.333 0.582
```

Largest 6 diffraction maxima, low angle first, 10° ≤ 2θ ≤ 80°:
| 2theta | I/Imax |
| --- | --- |
| 20.96 | 54 |
| 23.98 | 78 |
| 28.35 | 45 |
| 33.58 | 100 |
| 34.75 | 96 |
| 49.12 | 47 |

No. 6
This entry pairs a crystal structure of NaScPb with its theoretical X-ray powder pattern. Radiation: Cu Kα. Structure: a DFT-relaxed cell (PBE, Alexandria).
Neutral-atom scattering factors, no anomalous dispersion.

Structure:
```
data_NaScPb
_symmetry_space_group_name_H-M 'P 1'
_symmetry_Int_Tables_number 1
_cell_length_a 4.351
_cell_length_b 7.419
_cell_length_c 7.419
_cell_angle_alpha 39.78
_cell_angle_beta 90.00
_cell_angle_gamma 90.00
loop_
_symmetry_equiv_pos_as_xyz
'x,y,z'
loop_
_atom_site_label
_atom_site_fract_x
_atom_site_fract_y
_atom_site_fract_z
Na1 0.000 0.000 0.000
Na2 0.500 0.166 0.166
Sc1 0.500 0.497 0.497
Sc2 0.500 0.817 0.817
Pb1 0.000 0.347 0.347
Pb2 0.000 0.658 0.658
```

Largest 6 diffraction maxima, low angle first, 10° ≤ 2θ ≤ 80°:
| 2theta | I/Imax |
| --- | --- |
| 18.69 | 34 |
| 20.41 | 28 |
| 26.05 | 31 |
| 27.81 | 20 |
| 33.32 | 100 |
| 35.57 | 22 |

No. 7
This entry pairs a crystal structure of Na4Si2PbSe6 with its theoretical X-ray powder pattern. Radiation: Cu Kα. Structure: a DFT-relaxed cell (PBE, Alexandria).
Neutral-atom scattering factors, no anomalous dispersion.

Structure:
```
data_Na4Si2PbSe6
_symmetry_space_group_name_H-M 'P 1'
_symmetry_Int_Tables_number 1
_cell_length_a 7.139
_cell_length_b 7.139
_cell_length_c 8.032
_cell_angle_alpha 98.63
_cell_angle_beta 98.63
_cell_angle_gamma 119.92
loop_
_symmetry_equiv_pos_as_xyz
'x,y,z'
loop_
_atom_site_label
_atom_site_fract_x
_atom_site_fract_y
_atom_site_fract_z
Na1 0.000 0.000 0.000
Na2 0.168 0.832 0.500
Na3 0.494 0.506 0.500
Na4 0.836 0.164 0.500
Si1 0.616 0.284 0.847
Si2 0.716 0.384 0.153
Pb1 0.332 0.668 0.000
Se1 0.054 0.413 0.245
Se2 0.277 0.250 0.752
Se3 0.440 0.109 0.245
Se4 0.587 0.946 0.755
Se5 0.750 0.723 0.248
Se6 0.891 0.560 0.755
```

Largest 6 diffraction maxima, low angle first, 10° ≤ 2θ ≤ 80°:
| 2theta | I/Imax |
| --- | --- |
| 11.55 | 18 |
| 14.84 | 12 |
| 29.45 | 100 |
| 40.29 | 40 |
| 43.91 | 34 |
| 53.76 | 16 |

No. 8
This entry pairs a crystal structure of Na2Si2Pb with its theoretical X-ray powder pattern. Radiation: Cu Kα. Structure: a DFT-relaxed cell (PBE, Alexandria).
Neutral-atom scattering factors, no anomalous dispersion.

Structure:
```
data_Na2Si2Pb
_symmetry_space_group_name_H-M 'P 1'
_symmetry_Int_Tables_number 1
_cell_length_a 7.009
_cell_length_b 7.009
_cell_length_c 7.009
_cell_angle_alpha 142.42
_cell_angle_beta 142.42
_cell_angle_gamma 54.20
loop_
_symmetry_equiv_pos_as_xyz
'x,y,z'
loop_
_atom_site_label
_atom_site_fract_x
_atom_site_fract_y
_atom_site_fract_z
Na1 0.250 0.750 0.500
Na2 0.750 0.250 0.500
Si1 0.088 0.088 0.000
Si2 0.912 0.912 0.000
Pb1 0.500 0.500 0.000
```

Largest 6 diffraction maxima, low angle first, 10° ≤ 2θ ≤ 80°:
| 2theta | I/Imax |
| --- | --- |
| 14.19 | 67 |
| 20.92 | 79 |
| 27.94 | 39 |
| 29.19 | 68 |
| 31.47 | 100 |
| 41.33 | 41 |

No. 9
This entry pairs a crystal structure of NaSm2Pb8 with its theoretical X-ray powder pattern. Radiation: Cu Kα. Structure: a DFT-relaxed cell (PBE, Alexandria).
Neutral-atom scattering factors, no anomalous dispersion.

Structure:
```
data_NaSm2Pb8
_symmetry_space_group_name_H-M 'P 1'
_symmetry_Int_Tables_number 1
_cell_length_a 4.758
_cell_length_b 4.758
_cell_length_c 15.238
_cell_angle_alpha 90.00
_cell_angle_beta 90.00
_cell_angle_gamma 90.00
loop_
_symmetry_equiv_pos_as_xyz
'x,y,z'
loop_
_atom_site_label
_atom_site_fract_x
_atom_site_fract_y
_atom_site_fract_z
Na1 0.000 0.000 0.000
Sm1 0.000 0.000 0.342
Sm2 0.000 0.000 0.658
Pb1 0.000 0.500 0.163
Pb2 0.000 0.500 0.500
Pb3 0.000 0.500 0.837
Pb4 0.500 0.000 0.163
Pb5 0.500 0.000 0.500
Pb6 0.500 0.000 0.837
Pb7 0.500 0.500 0.321
Pb8 0.500 0.500 0.679
```

Largest 6 diffraction maxima, low angle first, 10° ≤ 2θ ≤ 80°:
| 2theta | I/Imax |
| --- | --- |
| 31.90 | 100 |
| 35.34 | 18 |
| 37.81 | 33 |
| 52.72 | 24 |
| 61.29 | 14 |
| 64.60 | 27 |

No. 10
This entry pairs a crystal structure of NaSmPb6 with its theoretical X-ray powder pattern. Radiation: Cu Kα. Structure: a DFT-relaxed cell (PBE, Alexandria).
Neutral-atom scattering factors, no anomalous dispersion.

Structure:
```
data_NaSmPb6
_symmetry_space_group_name_H-M 'P 1'
_symmetry_Int_Tables_number 1
_cell_length_a 4.865
_cell_length_b 4.865
_cell_length_c 10.015
_cell_angle_alpha 90.00
_cell_angle_beta 90.00
_cell_angle_gamma 90.00
loop_
_symmetry_equiv_pos_as_xyz
'x,y,z'
loop_
_atom_site_label
_atom_site_fract_x
_atom_site_fract_y
_atom_site_fract_z
Na1 0.000 0.000 0.000
Sm1 0.000 0.000 0.500
Pb1 0.000 0.500 0.247
Pb2 0.000 0.500 0.753
Pb3 0.500 0.000 0.247
Pb4 0.500 0.000 0.753
Pb5 0.500 0.500 0.000
Pb6 0.500 0.500 0.500
```

Largest 6 diffraction maxima, low angle first, 10° ≤ 2θ ≤ 80°:
| 2theta | I/Imax |
| --- | --- |
| 31.55 | 100 |
| 35.87 | 18 |
| 36.96 | 33 |
| 52.45 | 25 |
| 61.78 | 15 |
| 63.24 | 28 |

No. 11
This entry pairs a crystal structure of Na5SnPb with its theoretical X-ray powder pattern. Radiation: Cu Kα. Structure: a DFT-relaxed cell (PBE, Alexandria).
Neutral-atom scattering factors, no anomalous dispersion.

Structure:
```
data_Na5SnPb
_symmetry_space_group_name_H-M 'P 1'
_symmetry_Int_Tables_number 1
_cell_length_a 5.844
_cell_length_b 5.844
_cell_length_c 12.791
_cell_angle_alpha 90.00
_cell_angle_beta 90.00
_cell_angle_gamma 74.55
loop_
_symmetry_equiv_pos_as_xyz
'x,y,z'
loop_
_atom_site_label
_atom_site_fract_x
_atom_site_fract_y
_atom_site_fract_z
Na1 0.086 0.914 0.750
Na2 0.150 0.433 0.611
Na3 0.150 0.433 0.889
Na4 0.433 0.150 0.111
Na5 0.433 0.150 0.389
Na6 0.567 0.850 0.611
Na7 0.567 0.850 0.889
Na8 0.850 0.567 0.111
Na9 0.850 0.567 0.389
Na10 0.914 0.086 0.250
Sn1 0.000 0.000 0.000
Sn2 0.000 0.000 0.500
Pb1 0.349 0.651 0.250
Pb2 0.651 0.349 0.750
```

Largest 6 diffraction maxima, low angle first, 10° ≤ 2θ ≤ 80°:
| 2theta | I/Imax |
| --- | --- |
| 17.20 | 65 |
| 19.08 | 46 |
| 21.02 | 100 |
| 26.19 | 52 |
| 32.55 | 53 |
| 34.02 | 61 |

No. 12
This entry pairs a crystal structure of Na6SnPb with its theoretical X-ray powder pattern. Radiation: Cu Kα. Structure: a DFT-relaxed cell (PBE, Alexandria).
Neutral-atom scattering factors, no anomalous dispersion.

Structure:
```
data_Na6SnPb
_symmetry_space_group_name_H-M 'P 1'
_symmetry_Int_Tables_number 1
_cell_length_a 5.584
_cell_length_b 7.226
_cell_length_c 5.759
_cell_angle_alpha 90.00
_cell_angle_beta 90.00
_cell_angle_gamma 90.00
loop_
_symmetry_equiv_pos_as_xyz
'x,y,z'
loop_
_atom_site_label
_atom_site_fract_x
_atom_site_fract_y
_atom_site_fract_z
Na1 0.000 0.000 0.000
Na2 0.000 0.248 0.464
Na3 0.000 0.752 0.464
Na4 0.500 0.244 0.857
Na5 0.500 0.500 0.330
Na6 0.500 0.756 0.857
Sn1 0.500 0.000 0.360
Pb1 0.000 0.500 0.958
```

Largest 6 diffraction maxima, low angle first, 10° ≤ 2θ ≤ 80°:
| 2theta | I/Imax |
| --- | --- |
| 19.71 | 64 |
| 20.10 | 66 |
| 22.17 | 46 |
| 32.06 | 31 |
| 33.38 | 100 |
| 37.92 | 26 |

No. 13
This entry pairs a crystal structure of Na2Sn4Pb5 with its theoretical X-ray powder pattern. Radiation: Cu Kα. Structure: a DFT-relaxed cell (PBE, Alexandria).
Neutral-atom scattering factors, no anomalous dispersion.

Structure:
```
data_Na2Sn4Pb5
_symmetry_space_group_name_H-M 'P 1'
_symmetry_Int_Tables_number 1
_cell_length_a 11.106
_cell_length_b 11.106
_cell_length_c 9.243
_cell_angle_alpha 92.10
_cell_angle_beta 92.10
_cell_angle_gamma 17.42
loop_
_symmetry_equiv_pos_as_xyz
'x,y,z'
loop_
_atom_site_label
_atom_site_fract_x
_atom_site_fract_y
_atom_site_fract_z
Na1 0.115 0.115 0.011
Na2 0.885 0.885 0.989
Sn1 0.376 0.376 0.666
Sn2 0.499 0.499 0.171
Sn3 0.501 0.501 0.829
Sn4 0.624 0.624 0.334
Pb1 0.000 0.000 0.500
Pb2 0.253 0.253 0.837
Pb3 0.368 0.368 0.328
Pb4 0.632 0.632 0.672
Pb5 0.747 0.747 0.163
```

Largest 6 diffraction maxima, low angle first, 10° ≤ 2θ ≤ 80°:
| 2theta | I/Imax |
| --- | --- |
| 30.96 | 97 |
| 32.65 | 98 |
| 32.83 | 100 |
| 33.29 | 93 |
| 33.91 | 91 |
| 34.77 | 83 |

No. 14
This entry pairs a crystal structure of Na4Sn4Pb3 with its theoretical X-ray powder pattern. Radiation: Cu Kα. Structure: a DFT-relaxed cell (PBE, Alexandria).
Neutral-atom scattering factors, no anomalous dispersion.

Structure:
```
data_Na4Sn4Pb3
_symmetry_space_group_name_H-M 'P 1'
_symmetry_Int_Tables_number 1
_cell_length_a 3.273
_cell_length_b 5.392
_cell_length_c 17.830
_cell_angle_alpha 97.89
_cell_angle_beta 90.33
_cell_angle_gamma 90.02
loop_
_symmetry_equiv_pos_as_xyz
'x,y,z'
loop_
_atom_site_label
_atom_site_fract_x
_atom_site_fract_y
_atom_site_fract_z
Na1 0.001 0.050 0.097
Na2 0.003 0.683 0.366
Na3 0.997 0.317 0.634
Na4 0.999 0.950 0.903
Sn1 0.497 0.230 0.458
Sn2 0.499 0.595 0.184
Sn3 0.501 0.405 0.816
Sn4 0.503 0.770 0.542
Pb1 0.491 0.862 0.724
Pb2 0.500 0.500 0.000
Pb3 0.509 0.138 0.276
```

Largest 6 diffraction maxima, low angle first, 10° ≤ 2θ ≤ 80°:
| 2theta | I/Imax |
| --- | --- |
| 18.00 | 73 |
| 18.19 | 74 |
| 27.25 | 100 |
| 32.25 | 93 |
| 32.66 | 90 |
| 33.24 | 87 |